Structure and computed PXRD pattern of Pa2TaMnN6 (a structure optimized by DFT (PBE); λ = 1.5418 Å (Cu Kα)).
Kinematic intensities with the Lorentz-polarization factor, no thermal factor.

Lattice parameters (Å, degrees): 5.2847 5.2847 4.8007 90.00 90.00 90.00
Fractional positions:
Pa (0.0000, 0.5000, 0.0000)
Pa (0.5000, 0.0000, 0.0000)
Ta (0.0000, 0.0000, 0.5785)
Mn (0.5000, 0.5000, 0.5962)
N (0.0000, 0.0000, 0.1797)
N (0.2527, 0.2527, 0.7315)
N (0.2527, 0.7473, 0.7315)
N (0.5000, 0.5000, 0.2046)
N (0.7473, 0.2527, 0.7315)
N (0.7473, 0.7473, 0.7315)

The 12 most intense peaks (15 to 90 degrees two-theta), by angle:
(0 0 1), 4.801 Å, 18.5 deg, I = 164; (1 1 1), 2.949 Å, 30.3 deg, I = 1000; (2 0 0), 2.642 Å, 33.9 deg, I = 382; (0 0 2), 2.400 Å, 37.5 deg, I = 102; (2 0 1), 2.315 Å, 38.9 deg, I = 87; (1 1 2), 2.020 Å, 44.9 deg, I = 140; (2 2 0), 1.868 Å, 48.7 deg, I = 184; (2 0 2), 1.777 Å, 51.4 deg, I = 220; (3 1 1), 1.578 Å, 58.5 deg, I = 323; (2 2 2), 1.474 Å, 63.0 deg, I = 95; (1 1 3), 1.471 Å, 63.2 deg, I = 85; (3 1 2), 1.372 Å, 68.4 deg, I = 80